No. 1
Structure and theoretical X-ray diffraction stick pattern of Sm2BiPbO6 (a DFT-relaxed cell (GGA-PBE, Alexandria); Cu Kα).

Peak list (6 most intense, 5° ≤ 2θ ≤ 70°, by angle)
hkl	2θ/deg	d/Å	intensity
1 0 4	28.41	3.141	99
1 1 0	29.46	3.032	100
0 2 4	41.39	2.182	42
2 -1 6	45.84	1.980	30
3 -1 4	51.61	1.771	43
3 0 0	52.25	1.751	28

Cell and atoms:
Unit cell a=6.0643 b=6.0643 c=15.6801 alpha=90.00 beta=90.00 gamma=120.00
Space group R3 (No. 146, hexagonal axes)
Inequivalent atoms, fractional coordinates:
Sm1 0.0000 0.0000 0.0000 (multiplicity 3)
Sm2 0.0000 0.0000 0.4967 (multiplicity 3)
Bi1 0.0000 0.0000 0.7137 (multiplicity 3)
Pb1 0.0000 0.0000 0.2163 (multiplicity 3)
O1 0.0104 0.2946 0.1058 (multiplicity 9)
O2 0.0106 0.7207 0.6080 (multiplicity 9)

No. 2
Structure and theoretical X-ray diffraction stick pattern of Tc2BiPbO8 (a DFT-relaxed cell (GGA-PBE, Alexandria); Cu Kα).

Peak list (6 most intense, 5° ≤ 2θ ≤ 70°, by angle)
hkl	2θ/deg	d/Å	intensity
2 0 0	15.79	5.613	31
1 1 1	23.70	3.754	100
0 2 0	27.82	3.207	47
3 1 -1	29.08	3.071	75
3 1 1	34.60	2.593	29
2 2 -2	43.10	2.099	28

Cell and atoms:
Unit cell a=11.514 b=6.413 c=5.773 alpha=90.00 beta=102.98 gamma=90.00
Space group C2/m (No. 12)
Inequivalent atoms, fractional coordinates:
Tc1 0.197 0.000 0.151 (multiplicity 4)
Bi1 0.000 0.000 0.500 (multiplicity 2)
Pb1 0.000 0.500 0.000 (multiplicity 2)
O1 0.111 0.201 0.271 (multiplicity 8)
O2 0.148 0.500 0.732 (multiplicity 4)
O3 0.158 0.000 0.833 (multiplicity 4)

No. 3
Structure and theoretical X-ray diffraction stick pattern of TcBi2PbO6 (a DFT-relaxed cell (GGA-PBE, Alexandria); Cu Kα).

Peak list (6 most intense, 5° ≤ 2θ ≤ 70°, by angle)
hkl	2θ/deg	d/Å	intensity
0 2 0	12.81	6.913	53
2 2 -1	23.29	3.819	59
1 1 -2	27.56	3.237	56
1 3 1	28.43	3.140	100
3 1 0	30.87	2.897	74
2 4 -1	32.45	2.759	48

Cell and atoms:
Unit cell a=9.719 b=13.826 c=6.674 alpha=90.00 beta=113.85 gamma=90.00
Space group C2/c (No. 15)
Inequivalent atoms, fractional coordinates:
Tc1 0.000 0.168 0.250 (multiplicity 4)
Bi1 0.143 0.411 0.650 (multiplicity 8)
Pb1 0.000 0.088 0.750 (multiplicity 4)
O1 0.046 0.238 0.495 (multiplicity 8)
O2 0.106 0.057 0.180 (multiplicity 8)
O3 0.124 0.455 0.960 (multiplicity 8)

No. 4
Structure and theoretical X-ray diffraction stick pattern of Ti2Bi2PbO7 (a DFT-relaxed cell (GGA-PBE, Alexandria); Cu Kα).

Peak list (6 most intense, 5° ≤ 2θ ≤ 70°, by angle)
hkl	2θ/deg	d/Å	intensity
1 3 0	26.70	3.339	100
0 5 1	27.70	3.220	100
1 2 1	31.96	2.801	90
1 7 0	36.83	2.441	30
1 8 1	44.84	2.021	41
2 5 1	57.16	1.611	38

Cell and atoms:
Unit cell a=3.724 b=22.621 c=4.585 alpha=90.00 beta=90.00 gamma=90.00
Space group Imm2 (No. 44)
Inequivalent atoms, fractional coordinates:
Ti1 0.000 0.089 0.000 (multiplicity 4)
Bi1 0.000 0.194 0.461 (multiplicity 4)
Pb1 0.000 0.500 0.076 (multiplicity 2)
O1 0.000 0.000 0.905 (multiplicity 2)
O2 0.000 0.098 0.400 (multiplicity 4)
O3 0.000 0.173 0.933 (multiplicity 4)
O4 0.000 0.417 0.403 (multiplicity 4)

No. 5
Structure and theoretical X-ray diffraction stick pattern of Ti10BiPb9O30 (a DFT-relaxed cell (GGA-PBE, Alexandria); Cu Kα).

Peak list (6 most intense, 5° ≤ 2θ ≤ 70°, by angle)
hkl	2θ/deg	d/Å	intensity
0 0 2	18.89	4.699	29
2 -1 0	23.06	3.857	30
1 2 1	29.98	2.981	100
3 1 -1	32.84	2.727	37
3 1 1	38.16	2.359	31
5 0 1	56.87	1.619	34

Cell and atoms:
Unit cell a=8.624 b=8.624 c=10.158 alpha=109.85 beta=99.77 gamma=90.00
Space group P1 (No. 1)
Inequivalent atoms, fractional coordinates:
Ti1 0.000 0.000 0.000 (multiplicity 1)
Ti2 0.093 0.196 0.497 (multiplicity 1)
Ti3 0.196 0.398 0.999 (multiplicity 1)
Ti4 0.295 0.596 0.496 (multiplicity 1)
Ti5 0.391 0.795 0.000 (multiplicity 1)
Ti6 0.498 0.997 0.497 (multiplicity 1)
Ti7 0.593 0.202 0.000 (multiplicity 1)
Ti8 0.695 0.394 0.497 (multiplicity 1)
Ti9 0.798 0.594 0.000 (multiplicity 1)
Ti10 0.895 0.799 0.497 (multiplicity 1)
Bi1 0.736 0.978 0.201 (multiplicity 1)
Pb1 0.039 0.585 0.717 (multiplicity 1)
Pb2 0.139 0.786 0.225 (multiplicity 1)
Pb3 0.240 0.985 0.717 (multiplicity 1)
Pb4 0.342 0.188 0.225 (multiplicity 1)
Pb5 0.437 0.384 0.717 (multiplicity 1)
Pb6 0.540 0.590 0.225 (multiplicity 1)
Pb7 0.639 0.783 0.717 (multiplicity 1)
Pb8 0.841 0.186 0.722 (multiplicity 1)
Pb9 0.941 0.386 0.224 (multiplicity 1)
O1 0.006 0.020 0.554 (multiplicity 1)
O2 0.008 0.524 0.054 (multiplicity 1)
O3 0.046 0.120 0.309 (multiplicity 1)
O4 0.102 0.221 0.054 (multiplicity 1)
O5 0.106 0.719 0.549 (multiplicity 1)
O6 0.159 0.323 0.813 (multiplicity 1)
O7 0.204 0.417 0.549 (multiplicity 1)
O8 0.206 0.918 0.052 (multiplicity 1)
O9 0.258 0.521 0.309 (multiplicity 1)
O10 0.305 0.116 0.547 (multiplicity 1)
O11 0.311 0.618 0.054 (multiplicity 1)
O12 0.358 0.722 0.813 (multiplicity 1)
O13 0.405 0.315 0.055 (multiplicity 1)
O14 0.407 0.817 0.550 (multiplicity 1)
O15 0.470 0.923 0.310 (multiplicity 1)
O16 0.506 0.516 0.550 (multiplicity 1)
O17 0.513 0.018 0.061 (multiplicity 1)
O18 0.556 0.123 0.814 (multiplicity 1)
O19 0.607 0.219 0.555 (multiplicity 1)
O20 0.612 0.727 0.061 (multiplicity 1)
O21 0.659 0.310 0.310 (multiplicity 1)
O22 0.706 0.418 0.052 (multiplicity 1)
O23 0.707 0.920 0.555 (multiplicity 1)
O24 0.760 0.524 0.814 (multiplicity 1)
O25 0.804 0.117 0.061 (multiplicity 1)
O26 0.805 0.617 0.547 (multiplicity 1)
O27 0.856 0.733 0.310 (multiplicity 1)
O28 0.903 0.826 0.061 (multiplicity 1)
O29 0.906 0.319 0.554 (multiplicity 1)
O30 0.959 0.923 0.814 (multiplicity 1)

No. 6
Structure and theoretical X-ray diffraction stick pattern of Ti5ZnBi2Pb4O18 (a DFT-relaxed cell (GGA-PBE, Alexandria); Cu Kα).

Peak list (6 most intense, 5° ≤ 2θ ≤ 70°, by angle)
hkl	2θ/deg	d/Å	intensity
2 0 -2	18.48	4.802	29
1 1 2	23.24	3.827	27
3 1 0	29.86	2.993	100
2 2 -2	38.16	2.359	20
2 2 4	47.52	1.913	21
4 2 -4	50.84	1.796	23

Cell and atoms:
Unit cell a=11.015 b=5.420 c=14.465 alpha=90.00 beta=102.28 gamma=90.00
Space group Cm (No. 8)
Inequivalent atoms, fractional coordinates:
Ti1 0.000 0.000 0.000 (multiplicity 2)
Ti2 0.000 0.000 0.498 (multiplicity 2)
Ti3 0.167 0.500 0.667 (multiplicity 2)
Ti4 0.169 0.500 0.167 (multiplicity 2)
Ti5 0.335 0.000 0.336 (multiplicity 2)
Zn1 0.362 0.000 0.835 (multiplicity 2)
Bi1 0.046 0.000 0.745 (multiplicity 2)
Bi2 0.197 0.500 0.895 (multiplicity 2)
Pb1 0.022 0.000 0.240 (multiplicity 2)
Pb2 0.187 0.500 0.408 (multiplicity 2)
Pb3 0.353 0.000 0.072 (multiplicity 2)
Pb4 0.360 0.000 0.586 (multiplicity 2)
O1 0.051 0.250 0.102 (multiplicity 4)
O2 0.052 0.242 0.606 (multiplicity 4)
O3 0.110 0.000 0.925 (multiplicity 2)
O4 0.121 0.000 0.438 (multiplicity 2)
O5 0.216 0.251 0.272 (multiplicity 4)
O6 0.217 0.251 0.772 (multiplicity 4)
O7 0.292 0.500 0.108 (multiplicity 2)
O8 0.295 0.500 0.613 (multiplicity 2)
O9 0.375 0.261 0.942 (multiplicity 4)
O10 0.383 0.248 0.440 (multiplicity 4)
O11 0.459 0.000 0.277 (multiplicity 2)
O12 0.498 0.000 0.771 (multiplicity 2)